[1]
Structure and theoretical powder diffractogram of Sc3Ni4N4 (a PBE-relaxed structure; Cu Kα, 1.54184 Å).
Lines closer than 0.1° are merged.

Atomic structure:
a = 2.9662 Å, b = 6.7690 Å, c = 11.2441 Å
α = 90.00°, β = 90.00°, γ = 90.00°
Space group Immm (No. 71)
Unique sites:
Sc 0.0000 0.0000 0.0000 [2 per cell]
Sc 0.0000 0.5000 0.1156 [4 per cell]
Ni 0.0000 0.3268 0.3324 [8 per cell]
N 0.0000 0.0000 0.2336 [4 per cell]
N 0.0000 0.2100 0.5000 [4 per cell]

Most intense lines, 2θ = 15–90°, by angle:
2θ 15.76, intensity 37, (0 0 2)
2θ 32.97, intensity 37, (1 1 0)
2θ 38.71, intensity 67, (1 0 3)
2θ 41.26, intensity 99, (1 2 1)
2θ 42.35, intensity 39, (0 1 5)
2θ 46.49, intensity 73, (1 1 4)
2θ 47.01, intensity 100, (0 3 3)
2θ 47.43, intensity 30, (1 2 3)
2θ 72.95, intensity 41, (1 3 6)
2θ 81.86, intensity 34, (2 3 3)


[2]
Structure and theoretical powder diffractogram of TbYSi3Au (a PBE-relaxed structure; Cu Kα, 1.54184 Å).
Lines closer than 0.1° are merged.

Atomic structure:
a = 8.2030 Å, b = 8.2306 Å, c = 14.2117 Å
α = 90.00°, β = 90.00°, γ = 90.00°
Space group Fmmm (No. 69)
Unique sites:
Tb 0.2500 0.2500 0.2500 [8 per cell]
Y 0.0000 0.2428 0.0000 [8 per cell]
Si 0.0000 0.0000 0.1635 [8 per cell]
Si 0.2465 0.0000 0.0819 [16 per cell]
Au 0.0000 0.0000 0.3333 [8 per cell]

Most intense lines, 2θ = 15–90°, by angle:
2θ 16.48, intensity 13, (1 1 1)
2θ 24.24, intensity 27, (1 1 3)
2θ 30.78, intensity 14, (2 2 0)
2θ 33.32, intensity 100, (2 2 2)
2θ 39.56, intensity 15, (3 1 3)
2θ 44.01, intensity 14, (0 4 0)
2θ 44.15, intensity 46, (4 0 0)
2θ 56.41, intensity 23, (4 2 4)
2θ 64.12, intensity 30, (4 4 0)
2θ 74.30, intensity 19, (2 2 10)


[3]
Structure and theoretical powder diffractogram of ScGa2Cu4Ni (a PBE-relaxed structure; Cu Kα, 1.54184 Å).
Lines closer than 0.1° are merged.

Atomic structure:
a = 4.2517 Å, b = 4.2517 Å, c = 5.9834 Å
α = 90.00°, β = 90.00°, γ = 90.00°
Space group P4/mmm (No. 123)
Unique sites:
Sc 0.0000 0.0000 0.0000 [1 per cell]
Ga 0.0000 0.0000 0.5000 [1 per cell]
Ga 0.5000 0.5000 0.0000 [1 per cell]
Cu 0.0000 0.5000 0.2696 [4 per cell]
Ni 0.5000 0.5000 0.5000 [1 per cell]

Most intense lines, 2θ = 15–90°, by angle:
2θ 25.70, intensity 2, (1 0 1)
2θ 42.52, intensity 52, (2 0 0)
2θ 42.63, intensity 100, (1 1 2)
2θ 45.27, intensity 1, (2 0 1)
2θ 55.27, intensity 2, (1 1 3)
2θ 61.71, intensity 16, (2 2 0)
2θ 62.05, intensity 7, (0 0 4)
2θ 77.90, intensity 30, (3 1 2)
2θ 78.13, intensity 14, (2 0 4)
2θ 87.50, intensity 1, (3 1 3)